For Tm3SBr7, a PBE-relaxed structure gives the computed PXRD pattern in this record (Cu Kα (λ = 1.5418 Å)).
Peak positions follow from Bragg's law for the DFT cell and can differ from measured ones.

The 6 most intense peaks (5 to 70 degrees two-theta), in order of falling intensity:
2θ/deg	d (Å)	I (rel.)
28.4	3.141	100
12.5	7.071	93
36.1	2.490	74
44.8	2.024	37
46.4	1.956	35
46.7	1.947	21

Structure:
a b c (Å): 8.098 8.098 7.071
angles (deg): 90.00 90.00 120.00
Atoms (fractional coordinates):
Tm  0.174  0.349  0.000
Tm  0.174  0.826  0.000
Tm  0.651  0.826  0.000
S  0.333  0.667  0.810
Br  0.000  0.000  0.232
Br  0.008  0.504  0.231
Br  0.321  0.160  0.790
Br  0.496  0.504  0.231
Br  0.496  0.992  0.231
Br  0.840  0.160  0.790
Br  0.840  0.679  0.790

For Bi2SN2, a PBE-relaxed structure gives the computed PXRD pattern in this record (Cu Kα (λ = 1.5418 Å)).
Peak positions follow from Bragg's law for the DFT cell and can differ from measured ones.

The 6 most intense peaks (5 to 70 degrees two-theta), in order of falling intensity:
2θ/deg	d (Å)	I (rel.)
6.7	13.283	100
20.1	4.428	28
26.4	3.370	20
25.5	3.494	15
34.1	2.626	10
31.1	2.877	10

Structure:
a b c (Å): 3.376 3.511 13.358
angles (deg): 95.27 92.88 91.47
Atoms (fractional coordinates):
Bi  0.032  0.056  0.158
Bi  0.968  0.944  0.842
S  0.000  0.500  0.000
N  0.013  0.063  0.463
N  0.987  0.937  0.537

For LaPm6Ga2, a PBE-relaxed structure gives the computed PXRD pattern in this record (Cu Kα (λ = 1.5418 Å)).
Peak positions follow from Bragg's law for the DFT cell and can differ from measured ones.

The 6 most intense peaks (5 to 70 degrees two-theta), in order of falling intensity:
2θ/deg	d (Å)	I (rel.)
32.4	2.764	100
31.8	2.815	25
31.0	2.883	21
47.9	1.900	10
58.6	1.575	9
58.2	1.586	7

Structure:
a b c (Å): 6.680 6.680 12.117
angles (deg): 108.88 108.88 33.05
Atoms (fractional coordinates):
La  0.000  0.000  0.000
Pm  0.024  0.024  0.324
Pm  0.307  0.307  0.127
Pm  0.314  0.314  0.414
Pm  0.686  0.686  0.586
Pm  0.693  0.693  0.873
Pm  0.976  0.976  0.676
Ga  0.347  0.347  0.789
Ga  0.653  0.653  0.211

For BPd2Pt, a PBE-relaxed structure gives the computed PXRD pattern in this record (Cu Kα (λ = 1.5418 Å)).
Peak positions follow from Bragg's law for the DFT cell and can differ from measured ones.

The 6 most intense peaks (5 to 70 degrees two-theta), in order of falling intensity:
2θ/deg	d (Å)	I (rel.)
43.5	2.079	100
39.2	2.300	97
33.6	2.666	71
36.6	2.455	60
50.5	1.806	49
21.4	4.157	24

Structure:
a b c (Å): 2.836 7.810 4.911
angles (deg): 90.00 90.00 90.00
Atoms (fractional coordinates):
B  0.250  0.250  0.072
B  0.750  0.750  0.928
Pd  0.250  0.571  0.742
Pd  0.250  0.929  0.742
Pd  0.750  0.071  0.258
Pd  0.750  0.429  0.258
Pt  0.250  0.750  0.251
Pt  0.750  0.250  0.749

Number 4 is which compound?
BPd2Pt